(1)
Starting from a cell relaxed with PBE, the powder diffraction line list of AcLa2PrDy5 was computed for λ = 1.5418 Å (Cu Kα).

Crystal structure
Unit cell a=8.8247 b=8.8247 c=16.0557 alpha=90.00 beta=90.00 gamma=90.00
Space group I4/mcm (No. 140)
Asymmetric unit:
1 Ac 0.0000 0.0000 0.2500 x4
2 La 0.1176 0.3824 0.0000 x8
3 Pr 0.0000 0.5000 0.2500 x4
4 Dy 0.0000 0.0000 0.0000 x4
5 Dy 0.2102 0.2898 0.3648 x16

Most intense lines, 2θ = 10–80°, in order of rising 2θ:
2θ (°)  intensity  index
28.09  37  2 1 3
28.61  50  2 2 0
30.10  100  2 0 4
32.07  16  3 1 0
37.16  13  3 2 1
45.18  13  0 0 8
51.61  24  4 2 4
54.35  15  2 2 8

---

(2)
Starting from a cell relaxed with PBE, the powder diffraction line list of SrN2F6 was computed for λ = 1.5418 Å (Cu Kα).

Crystal structure
Unit cell a=7.7424 b=7.7424 c=7.4786 alpha=90.00 beta=90.00 gamma=120.00
Space group R3 (No. 146, hexagonal axes)
Asymmetric unit:
1 Sr 0.0000 0.0000 0.0000 x3
2 N 0.0000 0.0000 0.4252 x3
3 N 0.0000 0.0000 0.5738 x3
4 F 0.0008 0.3795 0.4982 x9
5 F 0.0422 0.7082 0.8350 x9

Most intense lines, 2θ = 10–80°, in order of rising 2θ:
2θ (°)  intensity  index
17.77  100  1 0 1
22.97  32  1 1 0
27.31  44  0 1 2
35.98  60  2 0 2
40.35  84  3 0 0
43.15  97  2 -1 3
50.58  23  4 -3 1
75.30  26  5 0 2

---

(3)
Starting from a cell relaxed with PBE, the powder diffraction line list of K6HgTe4 was computed for λ = 1.5418 Å (Cu Kα).

Crystal structure
Unit cell a=11.1708 b=11.1708 c=8.4134 alpha=90.00 beta=90.00 gamma=120.00
Space group P6_3mc (No. 186)
Asymmetric unit:
1 K 0.0468 0.5234 0.0000 x6
2 K 0.1503 0.3005 0.3194 x6
3 Hg 0.3333 0.6667 0.6226 x2
4 Te 0.1894 0.3788 0.7268 x6
5 Te 0.3333 0.6667 0.2722 x2

Most intense lines, 2θ = 10–80°, in order of rising 2θ:
2θ (°)  intensity  index
13.95  83  1 0 1
18.34  47  2 0 0
21.15  62  0 0 2
26.57  57  2 1 1
28.11  64  2 0 2
32.05  100  2 2 0
37.05  46  2 0 3
38.71  34  2 2 2

---

(4)
Starting from a cell relaxed with PBE, the powder diffraction line list of Tb3ScTc was computed for λ = 1.5418 Å (Cu Kα).

Crystal structure
Unit cell a=5.0240 b=8.1420 c=6.4746 alpha=90.00 beta=90.00 gamma=90.00
Space group Pmmn (No. 59, origin choice 2)
Asymmetric unit:
1 Tb 0.2500 0.0488 0.1930 x4
2 Tb 0.2500 0.2500 0.7272 x2
3 Sc 0.2500 0.7500 0.5929 x2
4 Tc 0.2500 0.7500 0.9913 x2

Most intense lines, 2θ = 10–80°, in order of rising 2θ:
2θ (°)  intensity  index
13.68  23  0 0 1
31.48  100  1 2 1
32.91  19  1 0 2
34.76  49  1 1 2
35.74  37  2 0 0
35.88  25  0 3 1
51.55  18  2 3 1
66.97  16  1 5 2